Calculated X-ray powder pattern
Compound: CaMn3P3O13
Radiation: CuKα
Structure: DFT lattice parameters and positions (GGA+U)
No peak broadening, texture or thermal motion is included.

Peak list (6 most intense, 2θ from 5° to 70°, by intensity)
2θ (°)	I_rel
28.36	1000
30.34	902
19.46	801
23.81	792
29.72	739
22.45	518

Structure:
```
CaMn3P3O13
1.0
7.559 0.000 0.000
0.000 6.294 0.000
-1.565 0.000 10.259
Ca Mn P O
2 6 6 26
direct
0.154 0.250 0.192 Ca
0.846 0.750 0.808 Ca
0.172 0.250 0.777 Mn
0.270 0.750 0.424 Mn
0.500 0.000 0.000 Mn
0.500 0.500 0.000 Mn
0.730 0.250 0.576 Mn
0.828 0.750 0.223 Mn
0.178 0.750 0.105 P
0.260 0.750 0.750 P
0.279 0.250 0.505 P
0.721 0.750 0.495 P
0.740 0.250 0.250 P
0.822 0.250 0.895 P
0.004 0.250 0.979 O
0.120 0.250 0.585 O
0.133 0.750 0.248 O
0.139 0.558 0.776 O
0.139 0.942 0.776 O
0.254 0.060 0.406 O
0.254 0.440 0.406 O
0.289 0.546 0.091 O
0.289 0.954 0.091 O
0.311 0.750 0.613 O
0.386 0.250 0.909 O
0.431 0.750 0.851 O
0.456 0.250 0.596 O
0.544 0.750 0.404 O
0.569 0.250 0.149 O
0.614 0.750 0.091 O
0.689 0.250 0.387 O
0.711 0.046 0.909 O
0.711 0.454 0.909 O
0.746 0.560 0.594 O
0.746 0.940 0.594 O
0.861 0.058 0.224 O
0.861 0.442 0.224 O
0.867 0.250 0.752 O
0.880 0.750 0.415 O
0.996 0.750 0.021 O
```